# NdHoErMg
Simulated X-ray diffraction stick pattern, Cu Ka. Input: a structure optimized by DFT (PBE).
Lines closer than 0.1° are merged.

Structural model:
Cell lengths 7.825, 7.825, 7.825 Å; angles 90.00, 90.00, 90.00 degrees
Atoms (fractional coordinates):
Nd1 0.000 0.000 0.000
Nd2 0.000 0.500 0.500
Nd3 0.500 0.000 0.500
Nd4 0.500 0.500 0.000
Ho1 0.000 0.000 0.500
Ho2 0.000 0.500 0.000
Ho3 0.500 0.000 0.000
Ho4 0.500 0.500 0.500
Er1 0.250 0.250 0.750
Er2 0.250 0.750 0.250
Er3 0.750 0.250 0.250
Er4 0.750 0.750 0.750
Mg1 0.250 0.250 0.250
Mg2 0.250 0.750 0.750
Mg3 0.750 0.250 0.750
Mg4 0.750 0.750 0.250

Principal peaks in the range 2θ = 10–90°, low angle first:
2θ/deg  intensity
19.7  18
22.7  7
32.4  100
38.1  10
46.4  18
50.9  5
57.7  39
61.6  3
67.7  12
71.3  3
77.1  16
86.1  4

# Ce4CdHg3
Simulated X-ray diffraction stick pattern, Cu Ka. Input: a structure optimized by DFT (PBE).
Lines closer than 0.1° are merged.

Structural model:
Cell lengths 3.881, 5.376, 10.750 Å; angles 90.00, 90.00, 90.00 degrees
Atoms (fractional coordinates):
Ce1 0.000 0.000 0.000
Ce2 0.000 0.000 0.500
Ce3 0.000 0.500 0.247
Ce4 0.000 0.500 0.753
Cd1 0.500 0.500 0.500
Hg1 0.500 0.000 0.254
Hg2 0.500 0.000 0.746
Hg3 0.500 0.500 0.000

Principal peaks in the range 2θ = 10–90°, low angle first:
2θ/deg  intensity
33.0  100
33.3  49
46.8  9
47.9  18
58.7  19
59.4  37
69.2  12
70.0  6
78.0  9
79.6  8
79.8  8
88.5  6